Diffraction record for Cs2Mg7Tl12. The powder diffractogram is calculated, not measured: it uses a crystal structure in Alexandria, relaxed with PBE and copper Kα.
Lines closer than 0.1° are merged.

Main lines, most intense first (10° ≤ 2θ ≤ 80°):
28.47 deg, intensity 100, (2 1 1); 37.31 deg, intensity 31, (3 2 0); 22.76 deg, intensity 24, (2 -1 1); 52.18 deg, intensity 23, (5 -3 2); 35.13 deg, intensity 21, (0 0 2); 22.39 deg, intensity 20, (2 1 0); 35.47 deg, intensity 20, (4 -1 1); 59.03 deg, intensity 12, (2 1 3); 55.48 deg, intensity 12, (0 6 1); 78.26 deg, intensity 12, (8 -1 2)

Crystal structure
```
data_Cs2Mg7Tl12
_cell_length_a 12.1311
_cell_length_b 12.1311
_cell_length_c 5.1083
_cell_angle_alpha 90.00
_cell_angle_beta 90.00
_cell_angle_gamma 120.00
_symmetry_space_group_name_H-M 'P -3'
_symmetry_Int_Tables_number 147
loop_
_symmetry_equiv_pos_as_xyz
'x,y,z'
'-x,-y,-z'
'-y,x-y,z'
'y,-x+y,-z'
'-x+y,-x,z'
'x-y,x,-z'
loop_
_atom_site_label
_atom_site_fract_x
_atom_site_fract_y
_atom_site_fract_z
Cs1 0.3333 0.6667 0.2452
Mg1 0.0000 0.0000 0.5000
Mg2 0.1000 0.7105 0.7339
Tl1 0.0626 0.4396 0.7553
Tl2 0.1210 0.8679 0.2241
```

---

Diffraction record for Y7Ir. The powder diffractogram is calculated, not measured: it uses a crystal structure in Alexandria, relaxed with PBE and copper Kα.
Lines closer than 0.1° are merged.

Main lines, most intense first (10° ≤ 2θ ≤ 80°):
32.21 deg, intensity 100, (2 2 2); 37.36 deg, intensity 50, (4 0 0); 64.16 deg, intensity 40, (6 2 2); 53.86 deg, intensity 34, (4 4 0); 67.39 deg, intensity 11, (4 4 4); 15.94 deg, intensity 7, (1 1 1); 79.67 deg, intensity 5, (8 0 0); 30.80 deg, intensity 5, (3 1 1); 18.43 deg, intensity 4, (2 0 0); 26.18 deg, intensity 3, (2 2 0)

Crystal structure
```
data_Y7Ir
_cell_length_a 9.628
_cell_length_b 9.628
_cell_length_c 9.628
_cell_angle_alpha 90.00
_cell_angle_beta 90.00
_cell_angle_gamma 90.00
_symmetry_space_group_name_H-M 'F m -3 m'
_symmetry_Int_Tables_number 225
_symmetry_space_group_name_Hall '-F 4 2 3'
loop_
_atom_site_label
_atom_site_fract_x
_atom_site_fract_y
_atom_site_fract_z
Y1 0.000 0.000 0.000
Y2 0.000 0.250 0.250
Ir1 0.000 0.000 0.500
```

---

Diffraction record for TbEr6In6. The powder diffractogram is calculated, not measured: it uses a crystal structure in Alexandria, relaxed with PBE and copper Kα.
Lines closer than 0.1° are merged.

Main lines, most intense first (10° ≤ 2θ ≤ 80°):
33.33 deg, intensity 100, (1 1 2); 37.41 deg, intensity 62, (2 0 2); 28.71 deg, intensity 51, (1 1 0); 59.92 deg, intensity 29, (1 1 6); 30.11 deg, intensity 28, (1 0 3); 59.46 deg, intensity 27, (2 2 0); 33.60 deg, intensity 23, (0 0 4); 37.63 deg, intensity 23, (1 0 4); 53.89 deg, intensity 18, (3 0 2); 70.05 deg, intensity 16, (2 2 4)

Crystal structure
```
data_TbEr6In6
_cell_length_a 6.2183
_cell_length_b 6.2183
_cell_length_c 10.6705
_cell_angle_alpha 90.00
_cell_angle_beta 90.00
_cell_angle_gamma 120.00
_symmetry_space_group_name_H-M 'P 6/m m m'
_symmetry_Int_Tables_number 191
_symmetry_space_group_name_Hall '-P 6 2'
loop_
_atom_site_label
_atom_site_fract_x
_atom_site_fract_y
_atom_site_fract_z
Tb1 0.0000 0.0000 0.0000
Er1 0.0000 0.0000 0.3402
Er2 0.3333 0.6667 0.0000
Er3 0.3333 0.6667 0.5000
In1 0.0000 0.5000 0.2457
```

---

Diffraction record for CsHg2P. The powder diffractogram is calculated, not measured: it uses a crystal structure in Alexandria, relaxed with PBE and copper Kα.
Lines closer than 0.1° are merged.

Main lines, most intense first (10° ≤ 2θ ≤ 80°):
21.12 deg, intensity 100, (1 0 3); 31.94 deg, intensity 80, (2 0 2); 34.37 deg, intensity 60, (2 1 1); 48.09 deg, intensity 54, (2 2 4); 29.04 deg, intensity 47, (1 0 5); 15.81 deg, intensity 45, (1 0 1); 43.00 deg, intensity 36, (2 0 6); 23.51 deg, intensity 29, (1 1 2); 49.49 deg, intensity 22, (2 1 7); 19.71 deg, intensity 22, (0 0 4)

Crystal structure
```
data_CsHg2P
_cell_length_a 5.897
_cell_length_b 5.897
_cell_length_c 18.015
_cell_angle_alpha 90.00
_cell_angle_beta 90.00
_cell_angle_gamma 90.00
_symmetry_space_group_name_H-M 'I 41/a m d'
_symmetry_Int_Tables_number 141
loop_
_symmetry_equiv_pos_as_xyz
'x,y,z'
'-x,-y,-z'
'-y+1/4,x+3/4,z+1/4'
'y+1/4,-x+3/4,-z+1/4'
'-x+1/2,-y,z+1/2'
'x+1/2,y,-z+1/2'
'y+1/4,-x+1/4,z+3/4'
'-y+1/4,x+1/4,-z+3/4'
'x,-y,-z'
'-x,y,z'
'-y+1/4,-x+1/4,-z+3/4'
'y+1/4,x+1/4,z+3/4'
'-x+1/2,y,-z+1/2'
'x+1/2,-y,z+1/2'
'y+1/4,x+3/4,-z+1/4'
'-y+1/4,-x+3/4,z+1/4'
'x+1/2,y+1/2,z+1/2'
'-x+1/2,-y+1/2,-z+1/2'
'-y+3/4,x+1/4,z+3/4'
'y+3/4,-x+1/4,-z+3/4'
'-x,-y+1/2,z'
'x,y+1/2,-z'
'y+3/4,-x+3/4,z+1/4'
'-y+3/4,x+3/4,-z+1/4'
'x+1/2,-y+1/2,-z+1/2'
'-x+1/2,y+1/2,z+1/2'
'-y+3/4,-x+3/4,-z+1/4'
'y+3/4,x+3/4,z+1/4'
'-x,y+1/2,-z'
'x,-y+1/2,z'
'y+3/4,x+1/4,-z+3/4'
'-y+3/4,-x+1/4,z+3/4'
loop_
_atom_site_label
_atom_site_fract_x
_atom_site_fract_y
_atom_site_fract_z
Cs1 0.000 0.250 0.375
Hg1 0.000 0.000 0.000
P1 0.000 0.250 0.875
```

---

Diffraction record for Ba6Na3Hg. The powder diffractogram is calculated, not measured: it uses a crystal structure in Alexandria, relaxed with PBE and copper Kα.
Lines closer than 0.1° are merged.

Main lines, most intense first (10° ≤ 2θ ≤ 80°):
27.30 deg, intensity 100, (3 0 1); 24.89 deg, intensity 86, (1 3 1); 30.23 deg, intensity 71, (2 4 0); 27.49 deg, intensity 53, (0 0 2); 10.07 deg, intensity 51, (1 1 0); 16.95 deg, intensity 24, (2 1 0); 48.48 deg, intensity 20, (3 0 3); 35.14 deg, intensity 20, (4 1 1); 48.17 deg, intensity 19, (6 0 0); 41.28 deg, intensity 19, (2 4 2)

Crystal structure
```
data_Ba6Na3Hg
_cell_length_a 11.342
_cell_length_b 13.881
_cell_length_c 6.490
_cell_angle_alpha 90.00
_cell_angle_beta 90.00
_cell_angle_gamma 90.00
_symmetry_space_group_name_H-M 'P n n m'
_symmetry_Int_Tables_number 58
loop_
_symmetry_equiv_pos_as_xyz
'x,y,z'
'-x,-y,-z'
'-x,-y,z'
'x,y,-z'
'x+1/2,-y+1/2,-z+1/2'
'-x+1/2,y+1/2,z+1/2'
'-x+1/2,y+1/2,-z+1/2'
'x+1/2,-y+1/2,z+1/2'
loop_
_atom_site_label
_atom_site_fract_x
_atom_site_fract_y
_atom_site_fract_z
Ba1 0.009 0.239 0.000
Ba2 0.151 0.077 0.500
Ba3 0.190 0.424 0.500
Na1 0.000 0.500 0.000
Na2 0.159 0.738 0.500
Hg1 0.000 0.000 0.000
```

---

Diffraction record for Er2Ni6Ge. The powder diffractogram is calculated, not measured: it uses a crystal structure in Alexandria, relaxed with PBE and copper Kα.
Lines closer than 0.1° are merged.

Main lines, most intense first (10° ≤ 2θ ≤ 80°):
41.51 deg, intensity 100, (4 0 0); 35.79 deg, intensity 75, (1 1 -2); 45.34 deg, intensity 56, (2 2 1); 35.39 deg, intensity 27, (3 1 0); 46.57 deg, intensity 26, (4 0 -2); 42.47 deg, intensity 24, (2 0 2); 37.92 deg, intensity 24, (0 2 1); 26.97 deg, intensity 22, (1 1 1); 73.03 deg, intensity 20, (6 2 -1); 50.88 deg, intensity 17, (1 1 -3)

Crystal structure
```
data_Er2Ni6Ge
_cell_length_a 8.943
_cell_length_b 5.245
_cell_length_c 5.731
_cell_angle_alpha 90.00
_cell_angle_beta 103.60
_cell_angle_gamma 90.00
_symmetry_space_group_name_H-M 'C 1 2/m 1'
_symmetry_Int_Tables_number 12
loop_
_symmetry_equiv_pos_as_xyz
'x,y,z'
'-x,-y,-z'
'-x,y,-z'
'x,-y,z'
'x+1/2,y+1/2,z'
'-x+1/2,-y+1/2,-z'
'-x+1/2,y+1/2,-z'
'x+1/2,-y+1/2,z'
loop_
_atom_site_label
_atom_site_fract_x
_atom_site_fract_y
_atom_site_fract_z
Er1 0.143 0.000 0.339
Ni1 0.120 0.500 0.176
Ni2 0.137 0.238 0.831
Ge1 0.000 0.500 0.500
```

---

Diffraction record for Dy6Tm3Pu. The powder diffractogram is calculated, not measured: it uses a crystal structure in Alexandria, relaxed with PBE and copper Kα.
Lines closer than 0.1° are merged.

Main lines, most intense first (10° ≤ 2θ ≤ 80°):
31.56 deg, intensity 100, (1 3 1); 33.23 deg, intensity 53, (2 0 2); 29.92 deg, intensity 44, (1 1 -2); 30.47 deg, intensity 38, (3 1 0); 29.60 deg, intensity 34, (2 2 1); 58.96 deg, intensity 22, (2 6 0); 42.28 deg, intensity 21, (3 3 1); 33.38 deg, intensity 17, (3 1 1); 50.40 deg, intensity 16, (1 3 -3); 43.33 deg, intensity 15, (2 4 -1)

Crystal structure
```
data_Dy6Tm3Pu
_cell_length_a 9.205
_cell_length_b 9.998
_cell_length_c 6.655
_cell_angle_alpha 90.00
_cell_angle_beta 90.14
_cell_angle_gamma 90.00
_symmetry_space_group_name_H-M 'C 1 2 1'
_symmetry_Int_Tables_number 5
loop_
_symmetry_equiv_pos_as_xyz
'x,y,z'
'-x,y,-z'
'x+1/2,y+1/2,z'
'-x+1/2,y+1/2,-z'
loop_
_atom_site_label
_atom_site_fract_x
_atom_site_fract_y
_atom_site_fract_z
Dy1 0.000 0.000 0.000
Dy2 0.000 0.164 0.500
Dy3 0.156 0.597 0.755
Dy4 0.204 0.430 0.331
Tm1 0.000 0.325 0.000
Tm2 0.200 0.747 0.201
Pu1 0.000 0.855 0.500
```

---

Diffraction record for CeZr9O20. The powder diffractogram is calculated, not measured: it uses a crystal structure in Alexandria, relaxed with PBE and copper Kα.
Lines closer than 0.1° are merged.

Main lines, most intense first (10° ≤ 2θ ≤ 80°):
29.57 deg, intensity 100, (2 0 1); 49.05 deg, intensity 27, (3 2 3); 58.90 deg, intensity 27, (2 2 5); 49.70 deg, intensity 19, (0 2 4); 57.73 deg, intensity 14, (4 2 1); 34.57 deg, intensity 14, (1 0 3); 79.59 deg, intensity 11, (5 2 4); 33.69 deg, intensity 9, (2 2 0); 49.02 deg, intensity 9, (3 0 -1); 61.38 deg, intensity 6, (4 0 2)

Crystal structure
```
data_CeZr9O20
_cell_length_a 6.466
_cell_length_b 7.430
_cell_length_c 8.203
_cell_angle_alpha 77.23
_cell_angle_beta 75.29
_cell_angle_gamma 72.00
_symmetry_space_group_name_H-M 'P 1'
_symmetry_Int_Tables_number 1
loop_
_symmetry_equiv_pos_as_xyz
'x,y,z'
loop_
_atom_site_label
_atom_site_fract_x
_atom_site_fract_y
_atom_site_fract_z
Ce1 0.000 0.000 0.000
Zr1 0.197 0.302 0.599
Zr2 0.202 0.798 0.596
Zr3 0.400 0.097 0.202
Zr4 0.401 0.594 0.201
Zr5 0.594 0.401 0.800
Zr6 0.602 0.896 0.800
Zr7 0.796 0.700 0.402
Zr8 0.799 0.201 0.403
Zr9 0.998 0.500 0.996
O1 0.016 0.674 0.164
O2 0.081 0.224 0.141
O3 0.115 0.075 0.460
O4 0.182 0.620 0.441
O5 0.225 0.471 0.762
O6 0.285 0.021 0.735
O7 0.332 0.874 0.066
O8 0.382 0.422 0.039
O9 0.407 0.282 0.360
O10 0.480 0.820 0.345
O11 0.517 0.677 0.662
O12 0.585 0.221 0.638
O13 0.613 0.082 0.958
O14 0.679 0.621 0.942
O15 0.713 0.476 0.261
O16 0.765 0.024 0.249
O17 0.816 0.875 0.561
O18 0.884 0.420 0.533
O19 0.916 0.294 0.852
O20 0.980 0.808 0.833
```

---

Diffraction record for K3LaTh2Se6. The powder diffractogram is calculated, not measured: it uses a crystal structure in Alexandria, relaxed with PBE and copper Kα.
Lines closer than 0.1° are merged.

Main lines, most intense first (10° ≤ 2θ ≤ 80°):
28.38 deg, intensity 100, (1 3 1); 11.35 deg, intensity 60, (0 0 1); 39.15 deg, intensity 38, (2 0 2); 41.96 deg, intensity 35, (0 6 0); 24.16 deg, intensity 19, (1 3 0); 51.43 deg, intensity 19, (4 0 0); 36.09 deg, intensity 19, (2 0 -3); 68.46 deg, intensity 16, (4 6 0); 43.61 deg, intensity 15, (3 3 -2); 64.49 deg, intensity 15, (3 3 3)

Crystal structure
```
data_K3LaTh2Se6
_cell_length_a 7.460
_cell_length_b 12.920
_cell_length_c 8.183
_cell_angle_alpha 90.00
_cell_angle_beta 107.70
_cell_angle_gamma 90.00
_symmetry_space_group_name_H-M 'C 1 2/m 1'
_symmetry_Int_Tables_number 12
loop_
_symmetry_equiv_pos_as_xyz
'x,y,z'
'-x,-y,-z'
'-x,y,-z'
'x,-y,z'
'x+1/2,y+1/2,z'
'-x+1/2,-y+1/2,-z'
'-x+1/2,y+1/2,-z'
'x+1/2,-y+1/2,z'
loop_
_atom_site_label
_atom_site_fract_x
_atom_site_fract_y
_atom_site_fract_z
K1 0.000 0.000 0.000
K2 0.000 0.335 0.000
La1 0.000 0.500 0.500
Th1 0.000 0.167 0.500
Se1 0.229 0.000 0.716
Se2 0.244 0.329 0.716
```

---

Please write out number 6 again, unchanged.
Diffraction record for Er2Ni6Ge. The powder diffractogram is calculated, not measured: it uses a crystal structure in Alexandria, relaxed with PBE and copper Kα.
Lines closer than 0.1° are merged.

Main lines, most intense first (10° ≤ 2θ ≤ 80°):
41.51 deg, intensity 100, (4 0 0); 35.79 deg, intensity 75, (1 1 -2); 45.34 deg, intensity 56, (2 2 1); 35.39 deg, intensity 27, (3 1 0); 46.57 deg, intensity 26, (4 0 -2); 42.47 deg, intensity 24, (2 0 2); 37.92 deg, intensity 24, (0 2 1); 26.97 deg, intensity 22, (1 1 1); 73.03 deg, intensity 20, (6 2 -1); 50.88 deg, intensity 17, (1 1 -3)

Crystal structure
```
data_Er2Ni6Ge
_cell_length_a 8.943
_cell_length_b 5.245
_cell_length_c 5.731
_cell_angle_alpha 90.00
_cell_angle_beta 103.60
_cell_angle_gamma 90.00
_symmetry_space_group_name_H-M 'C 1 2/m 1'
_symmetry_Int_Tables_number 12
loop_
_symmetry_equiv_pos_as_xyz
'x,y,z'
'-x,-y,-z'
'-x,y,-z'
'x,-y,z'
'x+1/2,y+1/2,z'
'-x+1/2,-y+1/2,-z'
'-x+1/2,y+1/2,-z'
'x+1/2,-y+1/2,z'
loop_
_atom_site_label
_atom_site_fract_x
_atom_site_fract_y
_atom_site_fract_z
Er1 0.143 0.000 0.339
Ni1 0.120 0.500 0.176
Ni2 0.137 0.238 0.831
Ge1 0.000 0.500 0.500
```